# 1
This entry pairs a crystal structure of TbDy6Tm6 with its simulated powder diffraction line list. Radiation: CuKα. Structure: DFT lattice parameters and positions (PBE).
No peak broadening, texture or thermal motion is included.

Structural model:
```
TbDy6Tm6
1.0
3.4818 -5.4987 0.0000
3.4818 5.4987 0.0000
0.0000 0.0000 10.8862
Tb Dy Tm
1 6 6
Direct
0.0000 0.0000 0.0000
0.0000 0.0000 0.3327
0.0000 0.0000 0.6673
0.2632 0.7368 0.5000
0.3560 0.6440 0.0000
0.6440 0.3560 0.0000
0.7368 0.2632 0.5000
0.0000 0.5000 0.2255
0.0000 0.5000 0.7745
0.5000 0.0000 0.2255
0.5000 0.0000 0.7745
0.5000 0.5000 0.3011
0.5000 0.5000 0.6989
```

Principal peaks in the range 2θ from 10° to 90°, low angle first:
d [Å]	I/Imax
3.029	75
2.938	91
2.787	29
2.749	39
2.722	28
2.588	100
2.512	30
2.454	20
2.117	21
1.741	22
1.533	24
1.509	22

# 2
This entry pairs a crystal structure of TbDy8Tm6 with its simulated powder diffraction line list. Radiation: CuKα. Structure: DFT lattice parameters and positions (PBE).
No peak broadening, texture or thermal motion is included.

Structural model:
```
TbDy8Tm6
1.0
3.5441 0.0000 0.0000
0.0036 9.4254 0.0000
1.7543 2.7490 13.8241
Tb Dy Tm
1 8 6
Direct
0.0000 0.0000 0.0000
0.1117 0.8890 0.7771
0.1997 0.3982 0.6004
0.3113 0.2884 0.3781
0.4885 0.3128 0.0221
0.5115 0.6872 0.9779
0.6887 0.7116 0.6219
0.8003 0.6018 0.3996
0.8883 0.1110 0.2229
0.0890 0.5111 0.8219
0.2887 0.9124 0.4224
0.3998 0.7989 0.2003
0.6002 0.2011 0.7997
0.7113 0.0876 0.5776
0.9110 0.4889 0.1781
```

Principal peaks in the range 2θ from 10° to 90°, low angle first:
d [Å]	I/Imax
3.048	37
2.984	15
2.829	50
2.765	100
2.629	88
1.772	38
1.651	21
1.565	19
1.502	45
1.492	15
1.470	15
1.106	15

# 3
This entry pairs a crystal structure of Tb4Dy3Tm2 with its simulated powder diffraction line list. Radiation: CuKα. Structure: DFT lattice parameters and positions (PBE).
No peak broadening, texture or thermal motion is included.

Structural model:
```
Tb4Dy3Tm2
1.0
8.4835 -4.9727 0.0000
8.4835 4.9727 0.0000
-0.3085 0.0000 6.7500
Tb Dy Tm
8 6 4
Direct
0.1579 0.8047 0.9863
0.1848 0.4376 0.0873
0.1953 0.8421 0.5137
0.4376 0.1848 0.5873
0.5624 0.8152 0.4127
0.8047 0.1579 0.4863
0.8152 0.5624 0.9127
0.8421 0.1953 0.0137
0.1106 0.1971 0.7434
0.1971 0.1106 0.2434
0.4846 0.5154 0.2500
0.5154 0.4846 0.7500
0.8029 0.8894 0.7566
0.8894 0.8029 0.2566
0.1303 0.5459 0.6025
0.4541 0.8697 0.8975
0.5459 0.1303 0.1025
0.8697 0.4541 0.3975
```

Principal peaks in the range 2θ from 10° to 90°, low angle first:
d [Å]	I/Imax
3.087	15
2.943	43
2.872	21
2.859	100
2.835	31
2.825	56
2.793	35
2.732	39
2.701	24
2.655	16
2.353	17
1.592	17

# 4
This entry pairs a crystal structure of TbDy3Tm3 with its simulated powder diffraction line list. Radiation: CuKα. Structure: DFT lattice parameters and positions (PBE).
No peak broadening, texture or thermal motion is included.

Structural model:
```
TbDy3Tm3
1.0
9.4845 0.0000 0.0000
-4.7422 8.2138 0.0000
0.0000 0.0000 5.5915
Tb Dy Tm
2 6 6
Direct
0.3333 0.6667 0.2500
0.6667 0.3333 0.7500
0.0484 0.8090 0.2500
0.1910 0.2394 0.2500
0.2394 0.0484 0.7500
0.7606 0.9516 0.2500
0.8090 0.7606 0.7500
0.9516 0.1910 0.7500
0.0952 0.6183 0.7500
0.3817 0.4769 0.7500
0.4769 0.0952 0.2500
0.5231 0.9048 0.7500
0.6183 0.5231 0.2500
0.9048 0.3817 0.2500
```

Principal peaks in the range 2θ from 10° to 90°, low angle first:
d [Å]	I/Imax
3.105	24
2.796	24
2.714	100
2.078	16
1.792	20
1.598	20
1.509	23
1.496	16
1.357	4
1.193	8
1.148	14
1.102	9